This entry pairs a crystal structure of MgCd2Cu4O6 with its computed PXRD pattern. Radiation: λ = 1.5418 Å (Cu Kα). Structure: a structure optimized by DFT (PBE).

Largest 10 diffraction maxima, sorted by position, 2θ = 5–70°:
2θ = 17.01°, I 31.7
2θ = 32.39°, I 25.8
2θ = 33.06°, I 100.0
2θ = 33.81°, I 68.5
2θ = 33.91°, I 61.8
2θ = 36.46°, I 21.7
2θ = 39.92°, I 33.8
2θ = 40.99°, I 24.1
2θ = 41.80°, I 25.0
2θ = 45.83°, I 33.3

```
MgCd2Cu4O6
1.0
3.572 0.000 0.000
-0.382 4.405 0.000
-1.331 -0.160 10.428
Mg Cd Cu O
1 2 4 6
Cartesian
0.000 0.000 0.000
-0.672 3.698 7.194
2.531 1.051 2.681
0.475 3.522 3.799
0.965 2.411 1.055
1.381 1.403 5.694
1.160 1.476 8.746
-0.171 3.596 1.910
0.743 1.434 3.907
1.784 1.073 0.104
1.050 3.621 5.601
1.108 3.495 8.786
2.370 1.446 7.285
```

***

This entry pairs a crystal structure of Mg2Te3O8 with its computed PXRD pattern. Radiation: λ = 1.5418 Å (Cu Kα). Structure: a structure optimized by DFT (PBE).

Largest 10 diffraction maxima, sorted by position, 2θ = 5–70°:
2θ = 18.08°, I 57.5
2θ = 19.22°, I 47.8
2θ = 22.16°, I 61.8
2θ = 27.14°, I 63.9
2θ = 30.09°, I 100.0
2θ = 31.84°, I 27.2
2θ = 37.01°, I 18.1
2θ = 41.14°, I 40.3
2θ = 52.10°, I 17.7
2θ = 57.12°, I 18.4

```
Mg2Te3O8
1.0
6.412 -2.660 0.000
6.412 2.660 0.000
-1.727 0.000 11.665
Mg Te O
4 6 16
Cartesian
2.367 1.017 4.106
1.503 -1.017 9.939
9.594 1.017 1.726
8.731 -1.017 7.559
3.017 1.672 10.998
5.980 1.841 2.916
7.217 1.672 6.500
3.880 -1.672 5.166
5.117 -1.841 8.749
8.080 -1.672 0.667
0.421 0.359 4.123
4.313 1.954 4.236
-0.442 -0.359 9.956
2.450 0.771 9.423
7.648 1.954 1.597
3.331 0.035 0.316
2.468 -0.035 6.149
3.313 -0.771 3.590
7.784 0.771 8.075
8.629 0.035 5.517
7.766 -0.035 11.349
3.449 -1.954 10.068
8.647 -0.771 2.242
11.540 0.359 1.709
6.785 -1.954 7.430
10.676 -0.359 7.542
```

***

This entry pairs a crystal structure of Al2NiRu with its computed PXRD pattern. Radiation: λ = 1.5418 Å (Cu Kα). Structure: a structure optimized by DFT (PBE).

Largest 7 diffraction maxima, sorted by position, 2θ = 5–70°:
2θ = 26.23°, I 7.7
2θ = 30.38°, I 36.1
2θ = 43.50°, I 100.0
2θ = 51.51°, I 3.7
2θ = 53.98°, I 9.1
2θ = 63.21°, I 15.8
2θ = 69.65°, I 1.6

```
Al2NiRu
1.0
0.000 2.942 2.942
2.942 0.000 2.942
2.942 2.942 0.000
Al Ni Ru
2 1 1
Cartesian
1.471 1.471 1.471
4.413 4.413 4.413
0.000 0.000 0.000
2.942 2.942 2.942
```

***

This entry pairs a crystal structure of PrMg with its computed PXRD pattern. Radiation: λ = 1.5418 Å (Cu Kα). Structure: a structure optimized by DFT (PBE).

Largest 7 diffraction maxima, sorted by position, 2θ = 5–70°:
2θ = 22.73°, I 58.1
2θ = 32.37°, I 100.0
2θ = 39.92°, I 18.0
2θ = 46.42°, I 18.2
2θ = 52.29°, I 24.9
2θ = 57.73°, I 37.8
2θ = 67.75°, I 11.6

```
PrMg
1.0
3.912 0.000 0.000
0.000 3.912 0.000
0.000 0.000 3.912
Pr Mg
1 1
Cartesian
0.000 0.000 0.000
1.956 1.956 1.956
```

***

This entry pairs a crystal structure of Lu2ZnOs with its computed PXRD pattern. Radiation: λ = 1.5418 Å (Cu Kα). Structure: a structure optimized by DFT (PBE).

Largest 9 diffraction maxima, sorted by position, 2θ = 5–70°:
2θ = 22.68°, I 8.5
2θ = 26.24°, I 2.7
2θ = 37.45°, I 100.0
2θ = 44.23°, I 4.6
2θ = 46.30°, I 0.8
2θ = 54.00°, I 17.5
2θ = 59.31°, I 2.0
2θ = 61.01°, I 1.1
2θ = 67.56°, I 35.6

```
Lu2ZnOs
1.0
0.000 3.396 3.396
3.396 0.000 3.396
3.396 3.396 0.000
Lu Zn Os
2 1 1
Cartesian
1.698 1.698 1.698
5.094 5.094 5.094
0.000 0.000 0.000
3.396 3.396 3.396
```

***

This entry pairs a crystal structure of FeN3Cl5 with its computed PXRD pattern. Radiation: λ = 1.5418 Å (Cu Kα). Structure: a structure optimized by DFT (PBE).

Largest 10 diffraction maxima, sorted by position, 2θ = 5–70°:
2θ = 11.30°, I 27.8
2θ = 13.68°, I 53.3
2θ = 16.51°, I 100.0
2θ = 17.46°, I 27.5
2θ = 21.69°, I 26.7
2θ = 25.20°, I 28.4
2θ = 25.97°, I 94.9
2θ = 27.58°, I 22.5
2θ = 30.43°, I 31.5
2θ = 34.08°, I 24.7

```
FeN3Cl5
1.0
15.667 0.000 0.000
0.000 8.194 0.000
0.000 0.000 7.108
Fe N Cl
4 12 20
Cartesian
1.137 2.049 0.946
6.697 6.146 4.500
8.970 2.049 2.608
14.530 6.146 6.162
0.120 6.146 7.011
2.574 4.744 5.083
2.574 7.547 5.083
5.259 0.647 1.529
5.259 3.450 1.529
7.713 2.049 3.457
7.954 6.146 3.650
10.407 4.744 5.579
10.407 7.547 5.579
13.093 0.647 2.025
13.093 3.450 2.025
15.546 2.049 0.096
0.321 2.049 2.971
1.640 4.168 1.353
1.640 8.123 1.353
2.719 2.049 6.572
2.861 6.146 5.557
4.972 2.049 2.003
5.114 6.146 3.019
6.193 0.071 4.907
6.193 4.026 4.907
7.513 6.146 6.525
8.154 2.049 0.583
9.474 4.168 2.201
9.474 8.123 2.201
10.553 2.049 4.089
10.694 6.146 5.104
12.806 2.049 1.550
12.948 6.146 0.535
14.026 0.071 5.755
14.026 4.026 5.755
15.346 6.146 4.137
```

***

This entry pairs a crystal structure of CePt2 with its computed PXRD pattern. Radiation: λ = 1.5418 Å (Cu Kα). Structure: a structure optimized by DFT (PBE).

Largest 9 diffraction maxima, sorted by position, 2θ = 5–70°:
2θ = 19.79°, I 17.7
2θ = 32.59°, I 18.0
2θ = 38.42°, I 100.0
2θ = 40.20°, I 51.4
2θ = 46.76°, I 10.3
2θ = 51.24°, I 4.7
2θ = 58.16°, I 6.8
2θ = 62.06°, I 33.1
2θ = 68.28°, I 30.4

```
CePt2
1.0
0.000 3.885 3.885
3.885 0.000 3.885
3.885 3.885 0.000
Ce Pt
2 4
Cartesian
0.971 0.971 0.971
6.799 6.799 6.799
3.885 1.943 1.943
1.943 3.885 1.943
1.943 1.943 3.885
3.885 3.885 3.885
```